# AcNiO3
Simulated powder diffraction line list, CuKα. Input: a DFT-relaxed cell (GGA+U, the Materials Project).
Intensities are scaled so that the largest is 100.

Most intense lines, 15 to 90 degrees two-theta, by angle:
h k l  2θ/deg  intensity
1 0 0  22.59  30
1 1 0  32.16  100
1 1 1  39.67  22
2 0 0  46.13  28
2 1 0  51.95  15
2 1 1  57.35  40
2 2 0  67.29  17
3 0 0  71.98  8
3 1 0  76.55  17
3 1 1  81.03  8

```
data_AcNiO3
_space_group_name_H-M_alt 'P m -3 m'
_space_group_IT_number 221
_space_group_name_Hall '-P 4 2 3'
_cell_length_a 3.936
_cell_length_b 3.936
_cell_length_c 3.936
_cell_angle_alpha 90.00
_cell_angle_beta 90.00
_cell_angle_gamma 90.00
loop_
_atom_site_label
_atom_site_fract_x
_atom_site_fract_y
_atom_site_fract_z
Ac1 0.000 0.000 0.000
Ni1 0.500 0.500 0.500
O1 0.000 0.500 0.500
```

=====

# V3OF11
Simulated powder diffraction line list, CuKα. Input: a DFT-relaxed cell (GGA+U, the Materials Project).
Intensities are scaled so that the largest is 100.

Most intense lines, 15 to 90 degrees two-theta, by angle:
h k l  2θ/deg  intensity
0 0 3  18.52  55
1 1 -1  25.29  100
0 2 1  32.91  9
0 0 6  37.55  8
-2 1 2  39.14  11
1 0 6  41.40  7
-2 2 1  48.06  17
-1 1 8  53.68  10
1 -3 0  54.29  11
3 1 -1  55.79  8

```
data_V3OF11
_space_group_name_H-M_alt 'P -1'
_space_group_IT_number 2
_cell_length_a 5.271
_cell_length_b 5.443
_cell_length_c 14.615
_cell_angle_alpha 79.54
_cell_angle_beta 89.96
_cell_angle_gamma 89.96
loop_
_space_group_symop_operation_xyz
'x,y,z'
'-x,-y,-z'
loop_
_atom_site_label
_atom_site_fract_x
_atom_site_fract_y
_atom_site_fract_z
V1 0.000 0.000 0.000
V2 0.002 0.332 0.334
V3 0.493 0.166 0.672
V4 0.500 0.500 0.000
O1 0.418 0.123 0.782
F1 0.084 0.290 0.452
F2 0.086 0.624 0.784
F3 0.086 0.957 0.119
F4 0.200 0.309 0.975
F5 0.205 0.640 0.309
F6 0.206 0.974 0.641
F7 0.299 0.138 0.309
F8 0.299 0.471 0.641
F9 0.300 0.809 0.975
F10 0.412 0.790 0.451
F11 0.414 0.456 0.119
```

=====

# Mg14NiSnO16
Simulated powder diffraction line list, CuKα. Input: a DFT-relaxed cell (GGA+U, the Materials Project).
Intensities are scaled so that the largest is 100.

Most intense lines, 15 to 90 degrees two-theta, by angle:
h k l  2θ/deg  intensity
0 2 0  20.48  27
0 1 2  22.93  29
0 2 2  29.12  23
0 3 0  30.94  23
1 2 2  35.87  39
2 0 0  41.58  51
0 4 0  41.70  100
2 4 0  60.38  88
1 6 2  72.32  14
2 4 4  76.03  27

```
data_Mg14NiSnO16
_space_group_name_H-M_alt 'P m m m'
_space_group_IT_number 47
_cell_length_a 4.344
_cell_length_b 8.664
_cell_length_c 8.665
_cell_angle_alpha 90.00
_cell_angle_beta 90.00
_cell_angle_gamma 90.00
loop_
_space_group_symop_operation_xyz
'x,y,z'
'-x,-y,-z'
'-x,-y,z'
'x,y,-z'
'x,-y,-z'
'-x,y,z'
'-x,y,-z'
'x,-y,z'
loop_
_atom_site_label
_atom_site_fract_x
_atom_site_fract_y
_atom_site_fract_z
Mg1 0.000 0.000 0.000
Mg2 0.000 0.000 0.500
Mg3 0.000 0.246 0.243
Mg4 0.500 0.000 0.247
Mg5 0.500 0.240 0.500
Mg6 0.500 0.251 0.000
Mg7 0.500 0.500 0.236
Ni1 0.000 0.500 0.000
Sn1 0.000 0.500 0.500
O1 0.000 0.000 0.248
O2 0.000 0.232 0.500
O3 0.000 0.241 0.000
O4 0.000 0.500 0.237
O5 0.500 0.000 0.000
O6 0.500 0.000 0.500
O7 0.500 0.251 0.250
O8 0.500 0.500 0.000
O9 0.500 0.500 0.500
```

=====

# Li2CrFeO4
Simulated powder diffraction line list, CuKα. Input: a DFT-relaxed cell (GGA+U, the Materials Project).
Intensities are scaled so that the largest is 100.

Most intense lines, 15 to 90 degrees two-theta, by angle:
h k l  2θ/deg  intensity
0 1 0  18.18  100
2 0 0  35.37  42
2 1 0  36.99  12
1 2 2  42.93  81
1 -1 2  46.98  14
1 2 -2  56.71  9
2 3 0  62.24  21
3 1 2  62.43  22
3 2 2  65.61  14
4 2 0  78.75  10

```
data_Li2CrFeO4
_space_group_name_H-M_alt 'P -1'
_space_group_IT_number 2
_cell_length_a 5.153
_cell_length_b 5.174
_cell_length_c 5.950
_cell_angle_alpha 73.25
_cell_angle_beta 89.98
_cell_angle_gamma 80.42
loop_
_space_group_symop_operation_xyz
'x,y,z'
'-x,-y,-z'
loop_
_atom_site_label
_atom_site_fract_x
_atom_site_fract_y
_atom_site_fract_z
Li1 0.000 0.000 0.000
Li2 0.000 0.000 0.500
Li3 0.499 0.999 0.251
Cr1 0.250 0.501 0.375
Fe1 0.250 0.499 0.875
O1 0.120 0.274 0.680
O2 0.123 0.273 0.184
O3 0.377 0.729 0.069
O4 0.381 0.725 0.568
```

=====

# RbW2O6
Simulated powder diffraction line list, CuKα. Input: a DFT-relaxed cell (GGA+U, the Materials Project).
Intensities are scaled so that the largest is 100.

Most intense lines, 15 to 90 degrees two-theta, by angle:
h k l  2θ/deg  intensity
3 1 1  28.20  100
2 2 2  29.48  64
4 0 0  34.17  11
3 3 3  44.87  34
4 4 0  49.10  41
5 3 3  57.59  15
6 2 2  58.32  29
7 3 1  68.69  24
7 5 1  79.00  11
6 6 2  79.63  12

Cell lengths 10.496, 10.496, 10.496 Å; angles 90.00, 90.00, 90.00 degrees
Space group Fd-3m (No. 227, origin choice 2)
Asymmetric unit:
Rb: 0.125 0.125 0.125 [8 per cell]
W: 0.000 0.000 0.500 [16 per cell]
O: 0.061 0.375 0.875 [48 per cell]

=====

# BaGdCrFeO6
Simulated powder diffraction line list, CuKα. Input: a DFT-relaxed cell (GGA+U, the Materials Project).
Intensities are scaled so that the largest is 100.

Most intense lines, 15 to 90 degrees two-theta, by angle:
h k l  2θ/deg  intensity
1 1 1  18.54  22
2 2 0  30.50  100
3 1 1  35.93  15
4 0 0  43.68  33
3 3 1  47.83  8
4 2 2  54.20  39
4 4 0  63.48  20
6 2 0  72.05  17
4 4 4  80.22  6
6 4 2  88.20  20

```
data_BaGdCrFeO6
_space_group_name_H-M_alt 'F -4 3 m'
_space_group_IT_number 216
_space_group_name_Hall 'F -4 2 3'
_cell_length_a 8.290
_cell_length_b 8.290
_cell_length_c 8.290
_cell_angle_alpha 90.00
_cell_angle_beta 90.00
_cell_angle_gamma 90.00
loop_
_atom_site_label
_atom_site_fract_x
_atom_site_fract_y
_atom_site_fract_z
Ba1 0.000 0.000 0.000
Gd1 0.250 0.250 0.250
Cr1 0.250 0.250 0.750
Fe1 0.000 0.000 0.500
O1 0.010 0.250 0.750
```

=====

# Ba2SrMnO6
Simulated powder diffraction line list, CuKα. Input: a DFT-relaxed cell (GGA+U, the Materials Project).
Intensities are scaled so that the largest is 100.

Most intense lines, 15 to 90 degrees two-theta, by angle:
h k l  2θ/deg  intensity
2 0 0  20.66  5
2 2 0  29.38  100
2 2 2  36.19  11
4 0 0  42.03  31
4 0 2  47.27  3
4 2 2  52.10  40
4 4 0  60.95  18
6 2 0  69.08  19
4 4 4  76.80  6
6 2 4  84.27  22

```
data_Ba2SrMnO6
_space_group_name_H-M_alt 'P n -3'
_space_group_IT_number 201
_cell_length_a 8.599
_cell_length_b 8.599
_cell_length_c 8.599
_cell_angle_alpha 90.00
_cell_angle_beta 90.00
_cell_angle_gamma 90.00
loop_
_space_group_symop_operation_xyz
'x,y,z'
'-x,-y,-z'
'-x+1/2,-y+1/2,z'
'x+1/2,y+1/2,-z'
'x,-y+1/2,-z+1/2'
'-x,y+1/2,z+1/2'
'-x+1/2,y,-z+1/2'
'x+1/2,-y,z+1/2'
'z,x,y'
'-z,-x,-y'
'z,-x+1/2,-y+1/2'
'-z,x+1/2,y+1/2'
'-z+1/2,x,-y+1/2'
'z+1/2,-x,y+1/2'
'-z+1/2,-x+1/2,y'
'z+1/2,x+1/2,-y'
'y,z,x'
'-y,-z,-x'
'-y+1/2,z,-x+1/2'
'y+1/2,-z,x+1/2'
'-y+1/2,-z+1/2,x'
'y+1/2,z+1/2,-x'
'y,-z+1/2,-x+1/2'
'-y,z+1/2,x+1/2'
loop_
_atom_site_label
_atom_site_fract_x
_atom_site_fract_y
_atom_site_fract_z
Ba1 0.250 0.250 0.250
Ba2 0.250 0.250 0.750
Sr1 0.000 0.000 0.000
Mn1 0.000 0.000 0.500
O1 0.018 0.520 0.779
```

=====

# Li2V3C6O18
Simulated powder diffraction line list, CuKα. Input: a DFT-relaxed cell (GGA+U, the Materials Project).
Intensities are scaled so that the largest is 100.

Most intense lines, 15 to 90 degrees two-theta, by angle:
h k l  2θ/deg  intensity
0 1 -1  16.38  100
1 0 -2  24.12  80
0 1 2  24.24  40
0 2 -2  33.10  11
1 1 -3  35.14  71
2 0 -1  41.08  19
-1 2 3  41.39  18
1 -1 5  41.55  18
1 2 -1  44.71  10
2 0 -4  49.40  11

```
data_Li2V3C6O18
_space_group_name_H-M_alt 'P -1'
_space_group_IT_number 2
_cell_length_a 4.807
_cell_length_b 6.083
_cell_length_c 12.187
_cell_angle_alpha 100.90
_cell_angle_beta 90.03
_cell_angle_gamma 113.24
loop_
_space_group_symop_operation_xyz
'x,y,z'
'-x,-y,-z'
loop_
_atom_site_label
_atom_site_fract_x
_atom_site_fract_y
_atom_site_fract_z
Li1 0.072 0.146 0.228
V1 0.000 0.000 0.500
V2 0.338 0.668 0.162
C1 0.122 0.251 0.967
C2 0.208 0.415 0.699
C3 0.465 0.922 0.634
O1 0.066 0.298 0.599
O2 0.071 0.504 0.772
O3 0.149 0.759 0.046
O4 0.186 0.911 0.626
O5 0.232 0.157 0.882
O6 0.277 0.341 0.063
O7 0.383 0.995 0.269
O8 0.423 0.156 0.452
O9 0.485 0.442 0.716
```